Starting from a cell relaxed with GGA-PBE, the powder XRD pattern of Sm6GeIr2 was calculated for Cu Kα, 1.54184 Å.
Intensities are scaled so that the largest is 100.

Cell: 7.7232 7.7232 4.5903 Å, 90.00 90.00 120.00°
Fractional coordinates of all 9 atoms:
1 Sm 0.0000 0.4061 0.0000
2 Sm 0.0000 0.7302 0.5000
3 Sm 0.2698 0.2698 0.5000
4 Sm 0.4061 0.0000 0.0000
5 Sm 0.5939 0.5939 0.0000
6 Sm 0.7302 0.0000 0.5000
7 Ge 0.0000 0.0000 0.0000
8 Ir 0.3333 0.6667 0.5000
9 Ir 0.6667 0.3333 0.5000

Largest 6 diffraction maxima, sorted by position, 2θ = 10–90°:
2.955 Å, 30.25 deg, intensity 100
2.703 Å, 33.14 deg, intensity 70
2.528 Å, 35.51 deg, intensity 35
2.295 Å, 39.25 deg, intensity 30
2.229 Å, 40.46 deg, intensity 38
1.599 Å, 57.64 deg, intensity 27



Starting from a cell relaxed with GGA-PBE, the powder XRD pattern of TbSmGe2Ir was calculated for Cu Kα, 1.54184 Å.
Intensities are scaled so that the largest is 100.

Cell: 5.7543 5.7543 10.4428 Å, 114.83 114.83 44.28°
Fractional coordinates of all 10 atoms:
1 Tb 0.0094 0.0094 0.3316
2 Tb 0.9906 0.9906 0.6684
3 Sm 0.1913 0.1913 0.1180
4 Sm 0.8087 0.8087 0.8820
5 Ge 0.3522 0.3522 0.4479
6 Ge 0.4829 0.4829 0.1179
7 Ge 0.5171 0.5171 0.8821
8 Ge 0.6478 0.6478 0.5521
9 Ir 0.2704 0.2704 0.6614
10 Ir 0.7296 0.7296 0.3386

Largest 6 diffraction maxima, sorted by position, 2θ = 10–90°:
2.764 Å, 32.39 deg, intensity 79
2.697 Å, 33.21 deg, intensity 100
2.660 Å, 33.70 deg, intensity 29
2.466 Å, 36.44 deg, intensity 39
2.264 Å, 39.82 deg, intensity 71
2.169 Å, 41.65 deg, intensity 56



Starting from a cell relaxed with GGA-PBE, the powder XRD pattern of SmTmGe2Ir was calculated for Cu Kα, 1.54184 Å.
Intensities are scaled so that the largest is 100.

Cell: 5.7307 5.7307 10.4055 Å, 115.10 115.10 44.11°
Fractional coordinates of all 10 atoms:
1 Sm 0.0062 0.0062 0.3272
2 Sm 0.9938 0.9938 0.6728
3 Tm 0.1879 0.1879 0.1189
4 Tm 0.8121 0.8121 0.8811
5 Ge 0.3502 0.3502 0.4454
6 Ge 0.4783 0.4783 0.1123
7 Ge 0.5217 0.5217 0.8877
8 Ge 0.6498 0.6498 0.5546
9 Ir 0.2736 0.2736 0.6690
10 Ir 0.7264 0.7264 0.3310

Largest 6 diffraction maxima, sorted by position, 2θ = 10–90°:
2.743 Å, 32.65 deg, intensity 82
2.684 Å, 33.39 deg, intensity 100
2.651 Å, 33.81 deg, intensity 32
2.456 Å, 36.59 deg, intensity 37
2.247 Å, 40.14 deg, intensity 90
2.152 Å, 41.99 deg, intensity 78



Starting from a cell relaxed with GGA-PBE, the powder XRD pattern of TaGe2Ir2 was calculated for Cu Kα, 1.54184 Å.
Intensities are scaled so that the largest is 100.

Cell: 8.5796 12.6406 2.9498 Å, 90.00 90.00 90.00°
Fractional coordinates of all 20 atoms:
1 Ta 0.1088 0.1309 0.0000
2 Ta 0.3912 0.6309 0.5000
3 Ta 0.6088 0.3691 0.5000
4 Ta 0.8912 0.8691 0.0000
5 Ge 0.1160 0.5599 0.0000
6 Ge 0.2063 0.3175 0.5000
7 Ge 0.2937 0.8175 0.0000
8 Ge 0.3840 0.0599 0.5000
9 Ge 0.6160 0.9401 0.5000
10 Ge 0.7063 0.1825 0.0000
11 Ge 0.7937 0.6825 0.5000
12 Ge 0.8840 0.4401 0.0000
13 Ir 0.0827 0.7219 0.5000
14 Ir 0.1436 0.9441 0.5000
15 Ir 0.3564 0.4441 0.0000
16 Ir 0.4173 0.2219 0.0000
17 Ir 0.5827 0.7781 0.0000
18 Ir 0.6436 0.5559 0.0000
19 Ir 0.8564 0.0559 0.5000
20 Ir 0.9173 0.2781 0.5000

Largest 6 diffraction maxima, sorted by position, 2θ = 10–90°:
7.099 Å, 12.47 deg, intensity 87
2.416 Å, 37.21 deg, intensity 93
2.269 Å, 39.73 deg, intensity 84
2.178 Å, 41.46 deg, intensity 100
2.091 Å, 43.26 deg, intensity 50
2.027 Å, 44.71 deg, intensity 75